1.
Simulated powder XRD pattern of SrNpAlO5 for Cu Ka, from a structure optimized by DFT (GGA-PBE).

Peak list (10 most intense, 2θ from 15° to 90°, low angle first)
d = 5.373 Å, 2θ 16.50, I 82; d = 4.770 Å, 2θ 18.60, I 28; d = 3.588 Å, 2θ 24.82, I 93; d = 3.251 Å, 2θ 27.44, I 46; d = 2.860 Å, 2θ 31.28, I 100; d = 2.611 Å, 2θ 34.35, I 23; d = 2.604 Å, 2θ 34.45, I 23; d = 2.253 Å, 2θ 40.03, I 22; d = 1.985 Å, 2θ 45.70, I 16; d = 1.791 Å, 2θ 50.98, I 30

Atomic structure:
a = 7.117 Å, b = 9.540 Å, c = 7.841 Å
α = 90.00°, β = 114.00°, γ = 90.00°
Space group C2/c (No. 15)
Symmetry-distinct sites (fractional):
1 Sr 0.000 0.164 0.250 x4
2 Np 0.000 0.500 0.000 x4
3 Al 0.000 0.185 0.750 x4
4 O 0.000 0.421 0.250 x4
5 O 0.101 0.291 0.618 x8
6 O 0.185 0.063 0.903 x8

=====

2.
Simulated powder XRD pattern of NpAl11Pt for Cu Ka, from a structure optimized by DFT (GGA-PBE).

Peak list (10 most intense, 2θ from 15° to 90°, low angle first)
d = 4.494 Å, 2θ 19.76, I 100; d = 3.325 Å, 2θ 26.82, I 60; d = 3.165 Å, 2θ 28.19, I 78; d = 2.965 Å, 2θ 30.14, I 46; d = 2.667 Å, 2θ 33.60, I 52; d = 2.319 Å, 2θ 38.83, I 40; d = 2.301 Å, 2θ 39.15, I 54; d = 2.286 Å, 2θ 39.41, I 44; d = 2.247 Å, 2θ 40.14, I 47; d = 2.237 Å, 2θ 40.32, I 37

Atomic structure:
a = 5.210 Å, b = 12.637 Å, c = 7.134 Å
α = 90.00°, β = 109.71°, γ = 90.00°
Space group C2/m (No. 12)
Symmetry-distinct sites (fractional):
1 Np 0.000 0.000 0.000 x2
2 Al 0.000 0.000 0.500 x2
3 Al 0.106 0.393 0.218 x8
4 Al 0.174 0.176 0.354 x8
5 Al 0.250 0.250 0.000 x4
6 Pt 0.000 0.500 0.500 x2

=====

3.
Simulated powder XRD pattern of Rb2NpAlS4 for Cu Ka, from a structure optimized by DFT (GGA-PBE).

Peak list (10 most intense, 2θ from 15° to 90°, low angle first)
d = 5.896 Å, 2θ 15.03, I 38; d = 5.646 Å, 2θ 15.69, I 43; d = 4.110 Å, 2θ 21.62, I 29; d = 3.791 Å, 2θ 23.47, I 50; d = 3.370 Å, 2θ 26.45, I 100; d = 2.787 Å, 2θ 32.12, I 45; d = 2.747 Å, 2θ 32.59, I 31; d = 2.645 Å, 2θ 33.89, I 25; d = 2.098 Å, 2θ 43.12, I 27; d = 1.966 Å, 2θ 46.17, I 25

Atomic structure:
a = 8.462 Å, b = 8.220 Å, c = 7.581 Å
α = 90.00°, β = 90.00°, γ = 90.00°
Space group Pmn2_1 (No. 31)
Symmetry-distinct sites (fractional):
1 Rb 0.250 0.249 0.000 x4
2 Np 0.000 0.319 0.497 x2
3 Al 0.000 0.691 0.997 x2
4 S 0.000 0.514 0.765 x2
5 S 0.000 0.519 0.233 x2
6 S 0.223 0.843 0.994 x4

=====

4.
Simulated powder XRD pattern of Rb3Np3AlSe8 for Cu Ka, from a structure optimized by DFT (GGA-PBE).

Peak list (10 most intense, 2θ from 15° to 90°, low angle first)
d = 3.103 Å, 2θ 28.77, I 100; d = 2.505 Å, 2θ 35.84, I 23; d = 2.328 Å, 2θ 38.68, I 31; d = 2.082 Å, 2θ 43.47, I 36; d = 2.018 Å, 2θ 44.92, I 23; d = 1.888 Å, 2θ 48.19, I 12; d = 1.729 Å, 2θ 52.96, I 18; d = 1.552 Å, 2θ 59.58, I 10; d = 1.454 Å, 2θ 64.03, I 10; d = 1.330 Å, 2θ 70.85, I 15

Atomic structure:
a = 8.3272 Å, b = 8.3272 Å, c = 24.3830 Å
α = 90.00°, β = 90.00°, γ = 120.00°
Space group R-3m (No. 166, hexagonal axes)
Symmetry-distinct sites (fractional):
1 Rb 0.0000 0.5000 0.0000 x9
2 Np 0.0000 0.5000 0.5000 x9
3 Al 0.0000 0.0000 0.5000 x3
4 Se 0.0000 0.0000 0.2319 x6
5 Se 0.0231 0.5115 0.2268 x18

=====

5.
Simulated powder XRD pattern of Rb2NpAlSe4 for Cu Ka, from a structure optimized by DFT (GGA-PBE).

Peak list (10 most intense, 2θ from 15° to 90°, low angle first)
d = 3.086 Å, 2θ 28.93, I 100; d = 2.760 Å, 2θ 32.44, I 9; d = 2.218 Å, 2θ 40.69, I 11; d = 2.182 Å, 2θ 41.37, I 44; d = 2.147 Å, 2θ 42.08, I 12; d = 1.801 Å, 2θ 50.68, I 10; d = 1.763 Å, 2θ 51.87, I 12; d = 1.543 Å, 2θ 59.95, I 9; d = 1.380 Å, 2θ 67.91, I 14; d = 1.363 Å, 2θ 68.90, I 9

Atomic structure:
a = 8.589 Å, b = 8.870 Å, c = 12.350 Å
α = 90.00°, β = 90.00°, γ = 90.00°
Space group Imma (No. 74)
Symmetry-distinct sites (fractional):
1 Rb 0.000 0.000 0.000 x4
2 Rb 0.250 0.250 0.250 x4
3 Np 0.000 0.000 0.500 x4
4 Al 0.250 0.250 0.750 x4
5 Se 0.000 0.053 0.735 x8
6 Se 0.219 0.250 0.529 x8

=====

6.
Simulated powder XRD pattern of Rb4Np3AlTe8 for Cu Ka, from a structure optimized by DFT (GGA-PBE).

Peak list (10 most intense, 2θ from 15° to 90°, low angle first)
d = 3.350 Å, 2θ 26.61, I 100; d = 2.667 Å, 2θ 33.60, I 18; d = 2.470 Å, 2θ 36.38, I 31; d = 2.280 Å, 2θ 39.53, I 39; d = 2.201 Å, 2θ 41.01, I 9; d = 1.988 Å, 2θ 45.62, I 11; d = 1.887 Å, 2θ 48.21, I 6; d = 1.884 Å, 2θ 48.32, I 13; d = 1.675 Å, 2θ 54.80, I 9; d = 1.453 Å, 2θ 64.10, I 16

Atomic structure:
a = 15.812 Å, b = 9.110 Å, c = 9.956 Å
α = 90.00°, β = 122.04°, γ = 90.00°
Space group C2/m (No. 12)
Symmetry-distinct sites (fractional):
1 Rb 0.000 0.000 0.000 x2
2 Rb 0.000 0.500 0.000 x2
3 Rb 0.250 0.250 0.000 x4
4 Np 0.000 0.000 0.500 x2
5 Np 0.250 0.250 0.500 x4
6 Al 0.000 0.500 0.500 x2
7 Te 0.016 0.262 0.311 x8
8 Te 0.221 0.500 0.688 x4
9 Te 0.234 0.000 0.701 x4